1.
The following is a calculated powder XRD pattern of SmGdNi2Pb. It was derived from the PBE geometry in OQMD, using copper Kα.
Peak positions follow from Bragg's law for the DFT cell and can differ from measured ones.

Crystal structure
Cell: 3.7232 4.0146 14.4086 Å, 90.00 90.00 90.00°
Positions (direct):
Sm  0.0000  0.0000  0.0000
Sm  0.0000  0.5000  0.5000
Gd  0.0000  0.0000  0.2777
Gd  0.0000  0.5000  0.7777
Ni  0.5000  0.0000  0.4353
Ni  0.5000  0.0000  0.8389
Ni  0.5000  0.5000  0.3389
Ni  0.5000  0.5000  0.9353
Pb  0.5000  0.0000  0.6398
Pb  0.5000  0.5000  0.1398

Main lines, by angle (2θ from 15° to 90°):
2θ = 28.99°, I = 49.5; 2θ = 33.41°, I = 100.0; 2θ = 34.65°, I = 67.7; 2θ = 38.45°, I = 34.2; 2θ = 45.17°, I = 22.9; 2θ = 48.93°, I = 18.1; 2θ = 55.95°, I = 19.2; 2θ = 57.88°, I = 15.0; 2θ = 58.15°, I = 30.7; 2θ = 63.89°, I = 15.2

2.
The following is a calculated powder XRD pattern of PrGdTlNi2. It was derived from the PBE geometry in OQMD, using copper Kα.
Peak positions follow from Bragg's law for the DFT cell and can differ from measured ones.

Crystal structure
Cell: 3.7740 3.9803 14.6117 Å, 90.00 90.00 90.00°
Positions (direct):
Pr  0.0000  0.0000  0.0000
Pr  0.0000  0.5000  0.5000
Gd  0.0000  0.0000  0.7240
Gd  0.0000  0.5000  0.2240
Tl  0.5000  0.0000  0.3594
Tl  0.5000  0.5000  0.8594
Ni  0.5000  0.0000  0.1634
Ni  0.5000  0.0000  0.5671
Ni  0.5000  0.5000  0.0671
Ni  0.5000  0.5000  0.6634

Main lines, by angle (2θ from 15° to 90°):
2θ = 28.97°, I = 47.3; 2θ = 33.29°, I = 100.0; 2θ = 34.16°, I = 69.7; 2θ = 38.21°, I = 35.6; 2θ = 45.58°, I = 22.1; 2θ = 48.23°, I = 18.7; 2θ = 55.34°, I = 18.9; 2θ = 57.24°, I = 14.7; 2θ = 58.17°, I = 30.3; 2θ = 63.13°, I = 16.1

3.
The following is a calculated powder XRD pattern of TbGd2NiSn3Pt2. It was derived from the PBE geometry in OQMD, using copper Kα.
Peak positions follow from Bragg's law for the DFT cell and can differ from measured ones.

Crystal structure
Cell: 3.9454 7.5383 7.5383 Å, 119.96 90.00 90.00°
Positions (direct):
Tb  0.0000  0.0000  0.0000
Gd  0.0000  0.1880  0.5942
Gd  0.0000  0.5942  0.1880
Ni  0.0000  0.5947  0.5947
Sn  0.5000  0.3468  0.3468
Sn  0.5000  0.5946  0.8418
Sn  0.5000  0.8418  0.5946
Pt  0.5000  0.2599  0.9279
Pt  0.5000  0.9279  0.2599

Main lines, by angle (2θ from 15° to 90°):
2θ = 32.86°, I = 100.0; 2θ = 35.70°, I = 72.9; 2θ = 36.40°, I = 47.7; 2θ = 41.49°, I = 34.0; 2θ = 43.24°, I = 24.0; 2θ = 46.01°, I = 23.1; 2θ = 60.04°, I = 23.0; 2θ = 63.66°, I = 19.3; 2θ = 66.80°, I = 25.1; 2θ = 70.23°, I = 14.7

4.
The following is a calculated powder XRD pattern of GdTm2NiSn3Pt2. It was derived from the PBE geometry in OQMD, using copper Kα.
Peak positions follow from Bragg's law for the DFT cell and can differ from measured ones.

Crystal structure
Cell: 3.8956 7.5000 7.5000 Å, 120.28 90.00 90.00°
Positions (direct):
Gd  0.0000  0.0000  0.0000
Tm  0.0000  0.4064  0.8113
Tm  0.0000  0.8113  0.4064
Ni  0.0000  0.4090  0.4090
Sn  0.5000  0.1581  0.4075
Sn  0.5000  0.4075  0.1581
Sn  0.5000  0.6553  0.6553
Pt  0.5000  0.0744  0.7356
Pt  0.5000  0.7356  0.0744

Main lines, by angle (2θ from 15° to 90°):
2θ = 33.19°, I = 100.0; 2θ = 36.04°, I = 71.1; 2θ = 36.61°, I = 31.6; 2θ = 36.76°, I = 14.7; 2θ = 41.84°, I = 22.6; 2θ = 43.58°, I = 15.5; 2θ = 46.63°, I = 22.3; 2θ = 60.70°, I = 15.0; 2θ = 64.42°, I = 12.7; 2θ = 67.27°, I = 16.8

5.
The following is a calculated powder XRD pattern of Gd5NiS2. It was derived from the PBE geometry in OQMD, using copper Kα.
Peak positions follow from Bragg's law for the DFT cell and can differ from measured ones.

Crystal structure
Cell: 5.1663 5.1663 8.8283 Å, 90.00 90.00 90.00°
Positions (direct):
Gd  0.0000  0.0000  0.0000
Gd  0.0000  0.5000  0.2320
Gd  0.0000  0.5000  0.7680
Gd  0.5000  0.0000  0.2320
Gd  0.5000  0.0000  0.7680
Ni  0.5000  0.5000  0.0000
S  0.0000  0.0000  0.3176
S  0.0000  0.0000  0.6824

Main lines, by angle (2θ from 15° to 90°):
2θ = 20.12°, I = 23.7; 2θ = 24.37°, I = 17.4; 2θ = 31.80°, I = 100.0; 2θ = 34.73°, I = 53.3; 2θ = 39.31°, I = 22.0; 2θ = 40.46°, I = 15.5; 2θ = 40.89°, I = 12.3; 2θ = 49.93°, I = 18.9; 2θ = 54.70°, I = 20.9; 2θ = 60.42°, I = 32.1

6.
The following is a calculated powder XRD pattern of Gd4SiNi3. It was derived from the PBE geometry in OQMD, using copper Kα.
Peak positions follow from Bragg's law for the DFT cell and can differ from measured ones.

Crystal structure
Cell: 5.6144 4.1051 7.3296 Å, 90.00 90.07 90.00°
Positions (direct):
Gd  0.0000  0.0000  0.0000
Gd  0.2378  0.0000  0.4940
Gd  0.4949  0.5000  0.1283
Gd  0.7413  0.5000  0.6448
Si  0.7437  0.0000  0.3538
Ni  0.2404  0.5000  0.7826
Ni  0.4805  0.0000  0.8496
Ni  0.9779  0.5000  0.2858

Main lines, by angle (2θ from 15° to 90°):
2θ = 26.90°, I = 44.8; 2θ = 29.10°, I = 33.5; 2θ = 29.58°, I = 99.1; 2θ = 32.76°, I = 98.1; 2θ = 34.20°, I = 100.0; 2θ = 36.56°, I = 83.1; 2θ = 40.26°, I = 51.4; 2θ = 40.84°, I = 76.6; 2θ = 44.12°, I = 47.4; 2θ = 56.98°, I = 46.1